Starting from a crystal structure in the Materials Project, relaxed with PBE+U, the X-ray diffraction stick pattern of LiVF4 was computed for CuKα.

Structure:
abc: 5.480 5.565 6.037
angles: 90.16 116.68 91.79
Space group P-1 (No. 2)
Symmetry-distinct sites (fractional):
Li 0.033 0.253 0.054 x2
V 0.000 0.500 0.500 x1
V 0.500 0.000 0.500 x1
F 0.130 0.465 0.855 x2
F 0.236 0.794 0.561 x2
F 0.267 0.963 0.147 x2
F 0.276 0.293 0.463 x2

Most intense lines, 2θ = 10–90°, in order of rising 2θ:
Position (°2θ), d [Å], I_rel
16.44, 5.393, 100
23.78, 3.742, 49
24.05, 3.701, 44
24.52, 3.631, 43
24.67, 3.609, 43
33.23, 2.696, 27
45.77, 1.982, 25
47.31, 1.921, 16
48.62, 1.873, 15
50.79, 1.798, 14